Li4Be5P6: calculated X-ray diffraction stick pattern (Cu Kα (weighted mean of Kα1 and Kα2)), based on DFT lattice parameters and positions (GGA-PBE).

Structure:
```
30
Lattice="1.8062 -8.2758 0.0000 1.8062 8.2758 0.0000 0.0000 0.0000 13.6292" Properties=species:S:1:pos:R:3 pbc="T T T"
Li 1.8062 8.1135 6.8146
Li 1.8062 7.8855 3.4689
Li 1.8062 5.2191 10.9456
Li 1.8062 5.1977 6.0210
Li 1.8062 -5.1977 12.8356
Li 1.8062 -5.2191 4.1310
Li 1.8062 -7.8855 10.2835
Li 1.8062 -8.1135 0.0000
Be 1.8062 6.0015 1.6358
Be 1.8062 3.4997 1.6089
Be 1.8062 2.3405 10.1915
Be 1.8062 2.2348 6.5688
Be 1.8062 1.1673 2.3960
Be 1.8062 -1.1673 9.2106
Be 1.8062 -2.2348 13.3834
Be 1.8062 -2.3405 3.3769
Be 1.8062 -3.4997 8.4235
Be 1.8062 -6.0015 8.4504
P 1.8062 6.1115 8.4607
P 1.8062 4.8105 13.4727
P 1.8062 4.7424 3.4115
P 1.8062 1.1178 12.0168
P 1.8062 0.9531 4.7159
P 1.8062 0.9394 8.4485
P 1.8062 -0.9394 1.6339
P 1.8062 -0.9531 11.5305
P 1.8062 -1.1178 5.2022
P 1.8062 -4.7424 10.2261
P 1.8062 -4.8105 6.6581
P 1.8062 -6.1115 1.6461
```

Top 6 peaks for 10° ≤ 2θ ≤ 90°, in order of rising 2θ:
d/Å	2θ (°)	intensity
3.151	28.3	100
3.059	29.2	68
3.022	29.6	78
2.951	30.3	77
1.711	53.6	89
1.638	56.2	70